The following is a computed PXRD pattern of K3CrF6. It was derived from a PBE+U-relaxed structure, using Cu Kα, 1.54184 Å.
Neutral-atom scattering factors, no anomalous dispersion.

Top 10 peaks for 2θ = 10–90°, sorted by position:
two_theta, I/Imax
16.5, 16.7
17.1, 38.1
26.1, 53.2
28.6, 100.0
40.8, 30.1
41.0, 13.6
44.5, 14.5
45.6, 22.7
49.8, 13.8
51.4, 17.3

Cell and atoms:
```
K3CrF6
1.0
3.8267 -5.3797 0.0000
3.8267 5.3797 0.0000
-3.6571 0.0000 4.4278
K Cr F
3 1 6
direct
0.0000 0.0000 0.0000
0.2837 0.7163 0.5000
0.7163 0.2837 0.5000
0.5000 0.5000 0.0000
0.1667 0.4205 0.9465
0.3331 0.3331 0.5633
0.4205 0.1667 0.9465
0.5795 0.8333 0.0535
0.6669 0.6669 0.4367
0.8333 0.5795 0.0535
```